1.
Theoretical XRD peak list of ErHfZn4 for copper Kα, from DFT lattice parameters and positions (PBE).
Neutral-atom scattering factors, no anomalous dispersion.

Most intense lines, 10° ≤ 2θ ≤ 80°, in order of rising 2θ:
2θ (°)	I/Imax
23.32	25.8
36.38	100.0
40.98	60.0
47.69	4.0
55.94	28.6
56.82	7.6
62.25	3.8
71.64	26.9
72.41	21.5
74.65	9.7

Atomic structure:
```
data_ErHfZn4
_chemical_formula_sum 'Er1 Hf1 Zn4'
_cell_length_a 3.241
_cell_length_b 4.405
_cell_length_c 7.627
_cell_angle_alpha 90.00
_cell_angle_beta 90.00
_cell_angle_gamma 90.00
_symmetry_space_group_name_H-M 'P 1'
_symmetry_Int_Tables_number 1
loop_
_symmetry_equiv_pos_as_xyz
'x,y,z'
loop_
_atom_site_label
_atom_site_type_symbol
_atom_site_fract_x
_atom_site_fract_y
_atom_site_fract_z
Er1 Er 0.000 0.000 0.000
Hf1 Hf 0.000 0.500 0.500
Zn1 Zn 0.500 0.000 0.339
Zn2 Zn 0.500 0.000 0.661
Zn3 Zn 0.500 0.500 0.175
Zn4 Zn 0.500 0.500 0.825
```

***

2.
Theoretical XRD peak list of K2HgI4 for copper Kα, from DFT lattice parameters and positions (PBE).
Neutral-atom scattering factors, no anomalous dispersion.

Most intense lines, 10° ≤ 2θ ≤ 80°, in order of rising 2θ:
2θ (°)	I/Imax
11.85	34.5
14.66	15.1
17.63	100.0
20.09	29.6
23.83	50.0
29.57	19.6
30.43	41.2
31.19	29.3
33.57	26.1
44.28	31.1

Atomic structure:
```
data_K2HgI4
_chemical_formula_sum 'K4 Hg2 I8'
_cell_length_a 9.096
_cell_length_b 9.096
_cell_length_c 10.713
_cell_angle_alpha 103.22
_cell_angle_beta 103.22
_cell_angle_gamma 117.05
_symmetry_space_group_name_H-M 'P 1'
_symmetry_Int_Tables_number 1
loop_
_symmetry_equiv_pos_as_xyz
'x,y,z'
loop_
_atom_site_label
_atom_site_type_symbol
_atom_site_fract_x
_atom_site_fract_y
_atom_site_fract_z
K1 K 0.073 0.927 0.750
K2 K 0.324 0.676 0.250
K3 K 0.676 0.324 0.750
K4 K 0.927 0.073 0.250
Hg1 Hg 0.375 0.625 0.750
Hg2 Hg 0.625 0.375 0.250
I1 I 0.163 0.648 0.905
I2 I 0.244 0.260 0.595
I3 I 0.260 0.244 0.095
I4 I 0.352 0.837 0.595
I5 I 0.648 0.163 0.405
I6 I 0.740 0.756 0.905
I7 I 0.756 0.740 0.405
I8 I 0.837 0.352 0.095
```